Structure and computed powder diffraction line list of FeS3N2Cl5 (DFT lattice parameters and positions (GGA-PBE); Cu Kα (λ = 1.5418 Å)).
Kinematic intensities with the Lorentz-polarization factor, no thermal factor.

Most intense lines, 15 to 90 degrees two-theta, low angle first:
| Position (°2θ) | d_spacing | I (rel.) | index |
| --- | --- | --- | --- |
| 15.64 | 5.667 | 58.1 | 0 0 2 |
| 17.70 | 5.011 | 63.9 | 0 1 2 |
| 18.29 | 4.850 | 65.8 | 0 2 1 |
| 19.04 | 4.661 | 97.3 | 2 0 -2 |
| 25.12 | 3.544 | 45.7 | 2 0 -4 |
| 26.40 | 3.376 | 100.0 | 2 2 -1 |
| 31.19 | 2.868 | 76.8 | 2 1 1 |
| 32.68 | 2.741 | 40.5 | 2 3 -3 |

Cell and atoms:
Unit cell a=9.326 b=10.732 c=14.470 alpha=90.00 beta=128.44 gamma=90.00
Fractional positions:
Fe 0.216 0.134 0.190
Fe 0.216 0.366 0.690
Fe 0.784 0.634 0.310
Fe 0.784 0.866 0.810
S 0.150 0.747 0.191
S 0.150 0.753 0.691
S 0.324 0.528 0.309
S 0.324 0.972 0.809
S 0.332 0.734 0.889
S 0.332 0.766 0.389
S 0.668 0.234 0.611
S 0.668 0.266 0.111
S 0.676 0.028 0.191
S 0.676 0.472 0.691
S 0.850 0.247 0.309
S 0.850 0.253 0.809
N 0.200 0.605 0.193
N 0.200 0.895 0.693
N 0.373 0.622 0.413
N 0.373 0.878 0.913
N 0.627 0.122 0.087
N 0.627 0.378 0.587
N 0.800 0.105 0.307
N 0.800 0.395 0.807
Cl 0.031 0.207 0.597
Cl 0.031 0.293 0.097
Cl 0.108 0.012 0.259
Cl 0.108 0.488 0.759
Cl 0.250 0.025 0.077
Cl 0.250 0.475 0.577
Cl 0.437 0.145 0.578
Cl 0.437 0.355 0.078
Cl 0.485 0.207 0.339
Cl 0.485 0.293 0.839
Cl 0.515 0.707 0.161
Cl 0.515 0.793 0.661
Cl 0.563 0.645 0.922
Cl 0.563 0.855 0.422
Cl 0.750 0.525 0.423
Cl 0.750 0.975 0.923
Cl 0.892 0.512 0.241
Cl 0.892 0.988 0.741
Cl 0.969 0.707 0.903
Cl 0.969 0.793 0.403